For Li3Mn2Si2O8, a DFT-relaxed cell (GGA+U, Alexandria) gives the simulated X-ray diffraction stick pattern in this record (CuKα).

Structure:
abc: 5.142 6.269 11.106
angles: 90.00 90.10 90.00
Fractional positions:
Li: 0.000 0.013 0.000
Li: 0.000 0.987 0.500
Li: 0.002 0.264 0.768
Li: 0.002 0.736 0.268
Li: 0.508 0.251 0.409
Li: 0.508 0.749 0.909
Mn: 0.003 0.488 0.513
Mn: 0.003 0.512 0.013
Mn: 0.494 0.006 0.676
Mn: 0.494 0.994 0.176
Si: 0.515 0.256 0.926
Si: 0.515 0.744 0.426
Si: 0.999 0.238 0.257
Si: 0.999 0.762 0.757
O: 0.320 0.212 0.258
O: 0.320 0.788 0.758
O: 0.396 0.480 0.975
O: 0.396 0.520 0.475
O: 0.403 0.216 0.788
O: 0.403 0.784 0.288
O: 0.410 0.046 0.008
O: 0.410 0.954 0.508
O: 0.833 0.254 0.926
O: 0.833 0.746 0.426
O: 0.889 0.022 0.181
O: 0.889 0.978 0.681
O: 0.896 0.234 0.398
O: 0.896 0.766 0.898
O: 0.930 0.464 0.191
O: 0.930 0.536 0.691

The 10 most intense peaks (2θ from 10° to 90°), in order of rising 2θ:
h k l	Position (°2θ)	I (rel.)
0 1 2	21.4	93
1 1 0	22.4	100
1 1 -1	23.8	56
1 1 2	27.6	37
0 0 4	32.2	34
0 2 2	32.8	72
2 0 0	34.9	67
1 2 2	37.3	48
0 2 6	57.9	36
3 2 2	64.2	31